No. 1
For Sm2In6IrPd, the PBE geometry in Alexandria gives the computed powder diffractogram in this record (copper Kα).

Structural model:
```
Sm2In6IrPd
1.0
0.000 5.122 5.122
5.122 0.000 5.122
5.122 5.122 0.000
Sm In Ir Pd
2 6 1 1
Cartesian
2.561 2.561 2.561
7.683 7.683 7.683
5.122 5.122 2.552
5.122 2.552 5.122
7.692 5.122 5.122
2.552 5.122 5.122
5.122 7.692 5.122
5.122 5.122 7.692
5.122 5.122 5.122
0.000 0.000 0.000
```

Main lines, by angle (2θ = 15–90°):
- d = 5.122 Å, I = 18.4
- d = 3.622 Å, I = 38.7
- d = 2.957 Å, I = 58.3
- d = 2.561 Å, I = 100.0
- d = 2.091 Å, I = 17.5
- d = 1.811 Å, I = 70.3
- d = 1.544 Å, I = 23.8
- d = 1.479 Å, I = 23.8
- d = 1.281 Å, I = 11.0
- d = 1.145 Å, I = 31.3

No. 2
For GaCuTcIr2, the PBE geometry in Alexandria gives the computed powder diffractogram in this record (copper Kα).

Structural model:
```
GaCuTcIr2
1.0
4.690 0.000 0.000
0.000 4.690 0.000
0.000 0.000 4.754
Ga Cu Tc Ir
1 1 1 2
Cartesian
0.000 0.000 0.000
2.345 2.345 0.000
0.000 0.000 2.377
0.000 2.345 2.377
2.345 0.000 2.377
```

Main lines, by angle (2θ = 15–90°):
- d = 4.754 Å, I = 64.2
- d = 2.720 Å, I = 100.0
- d = 2.377 Å, I = 37.6
- d = 2.345 Å, I = 72.4
- d = 2.103 Å, I = 31.0
- d = 1.669 Å, I = 50.8
- d = 1.658 Å, I = 24.8
- d = 1.430 Å, I = 14.0
- d = 1.416 Å, I = 27.0
- d = 1.360 Å, I = 25.4

No. 3
For GaAg6Au, the PBE geometry in Alexandria gives the computed powder diffractogram in this record (copper Kα).

Structural model:
```
GaAg6Au
1.0
8.235 0.000 0.000
0.000 8.296 0.000
0.000 0.000 4.148
Ga Ag Au
2 12 2
Cartesian
0.000 0.000 0.000
4.117 4.148 0.000
0.000 2.065 2.074
0.000 6.231 2.074
2.035 0.000 2.074
2.059 2.074 0.000
2.059 6.222 0.000
2.082 4.148 2.074
4.117 2.083 2.074
4.117 6.213 2.074
6.153 4.148 2.074
6.176 2.074 0.000
6.176 6.222 0.000
6.200 0.000 2.074
0.000 4.148 0.000
4.117 0.000 0.000
```

Main lines, by angle (2θ = 15–90°):
- d = 5.844 Å, I = 6.7
- d = 3.383 Å, I = 4.7
- d = 2.389 Å, I = 100.0
- d = 2.074 Å, I = 32.6
- d = 2.059 Å, I = 15.9
- d = 1.466 Å, I = 10.3
- d = 1.461 Å, I = 20.3
- d = 1.250 Å, I = 24.0
- d = 1.243 Å, I = 11.8
- d = 1.194 Å, I = 10.4

No. 4
For Tb6Sm6Ho, the PBE geometry in Alexandria gives the computed powder diffractogram in this record (copper Kα).

Structural model:
```
Tb6Sm6Ho
1.0
6.705 0.000 0.000
-3.352 5.807 0.000
0.000 0.000 11.398
Tb Sm Ho
6 6 1
Cartesian
-1.676 2.903 2.812
-1.676 2.903 8.586
3.352 0.000 2.812
3.352 0.000 8.586
1.676 2.903 2.812
1.676 2.903 8.586
0.000 0.000 3.946
0.000 0.000 7.452
0.000 3.871 0.000
0.000 3.871 5.699
3.352 1.936 0.000
3.352 1.936 5.699
0.000 0.000 0.000
```

Main lines, by angle (2θ = 15–90°):
- d = 3.352 Å, I = 39.4
- d = 3.179 Å, I = 27.6
- d = 2.903 Å, I = 59.6
- d = 2.890 Å, I = 90.3
- d = 2.850 Å, I = 33.7
- d = 2.587 Å, I = 100.0
- d = 2.558 Å, I = 31.3
- d = 1.676 Å, I = 38.8
- d = 1.653 Å, I = 33.0
- d = 1.445 Å, I = 25.8

No. 5
For KPmSe4, the PBE geometry in Alexandria gives the computed powder diffractogram in this record (copper Kα).

Structural model:
```
KPmSe4
1.0
6.360 0.000 0.000
0.000 6.360 0.000
0.000 0.000 8.469
K Pm Se
2 2 8
Cartesian
1.590 1.590 0.000
4.770 4.770 0.000
1.590 1.590 4.235
4.770 4.770 4.235
0.730 3.910 2.445
0.730 5.630 6.024
2.450 3.910 6.024
2.450 5.630 2.445
3.910 0.730 6.024
3.910 2.450 2.445
5.630 0.730 2.445
5.630 2.450 6.024
```

Main lines, by angle (2θ = 15–90°):
- d = 3.083 Å, I = 100.0
- d = 2.696 Å, I = 76.2
- d = 2.543 Å, I = 30.4
- d = 2.391 Å, I = 20.3
- d = 2.011 Å, I = 39.5
- d = 2.004 Å, I = 18.7
- d = 1.698 Å, I = 13.5
- d = 1.489 Å, I = 23.7
- d = 1.458 Å, I = 17.0
- d = 1.413 Å, I = 14.2

No. 6
For Tb2ZnHg5, the PBE geometry in Alexandria gives the computed powder diffractogram in this record (copper Kα).

Structural model:
```
Tb2ZnHg5
1.0
2.319 1.339 11.105
-2.319 1.339 11.105
0.000 -2.678 11.105
Tb Zn Hg
2 1 5
Cartesian
0.000 0.000 3.008
0.000 0.000 30.306
0.000 0.000 0.000
0.000 0.000 6.703
0.000 0.000 12.258
0.000 0.000 16.657
0.000 0.000 21.057
0.000 0.000 26.612
```

Main lines, by angle (2θ = 15–90°):
- d = 3.070 Å, I = 100.0
- d = 2.564 Å, I = 33.4
- d = 2.418 Å, I = 21.5
- d = 2.319 Å, I = 84.7
- d = 2.047 Å, I = 12.5
- d = 1.850 Å, I = 29.1
- d = 1.761 Å, I = 12.3
- d = 1.720 Å, I = 10.1
- d = 1.447 Å, I = 28.8
- d = 1.339 Å, I = 15.1

Number 4 is which compound? Tb6Sm6Ho